Theoretical XRD peak list
Compound: Ni5O6
Radiation: copper Kα
Structure: a structure optimized by DFT (GGA+U)
Peak positions follow from Bragg's law for the DFT cell and can differ from measured ones.

Most intense lines, 2θ from 10° to 90°, low angle first:
2θ 18.52, rel. 15
2θ 20.98, rel. 19
2θ 23.56, rel. 16
2θ 27.51, rel. 13
2θ 37.25, rel. 27
2θ 37.47, rel. 71
2θ 43.30, rel. 51
2θ 43.57, rel. 100
2θ 62.90, rel. 29
2θ 63.28, rel. 42
2θ 63.38, rel. 14
2θ 79.87, rel. 13

```
11
Lattice="2.5649 -4.4027 0.0000 2.5649 4.4027 0.0000 -1.7197 0.0000 4.7918" Properties=species:S:1:pos:R:3 pbc="T T T"
Ni 0.0000 0.0000 0.0000
Ni 1.7050 2.9154 2.3959
Ni 2.5649 1.4158 0.0000
Ni 2.5649 -1.4158 0.0000
Ni 1.7050 -2.9154 2.3959
O 0.7733 1.5711 1.1462
O -0.1299 0.0000 3.6790
O 0.7733 -1.5711 1.1462
O 2.6368 1.5711 3.6456
O 3.5399 0.0000 1.1129
O 2.6368 -1.5711 3.6456
```